MnS: computed powder XRD pattern (Cu Ka), based on a cell relaxed with GGA-PBE.
Lines closer than 0.1° are merged.

Top 10 peaks for 5° ≤ 2θ ≤ 70°, by intensity:
d_spacing, intensity, (hkl)
2.562, 1000, 0 1 2
1.817, 326, 1 1 0
1.806, 319, 1 0 4
1.482, 157, 2 0 2
2.964, 98, 1 0 1
1.470, 51, 0 0 6
2.940, 32, 0 0 3
1.546, 27, 1 1 3
1.549, 13, 0 2 1
1.539, 13, 0 1 5

Lattice parameters (Å, degrees): 3.6345 3.6345 8.8186 90.00 90.00 120.00
Space group R-3m (No. 166, hexagonal axes)
Symmetry-distinct sites (fractional):
Mn1 0.0000 0.0000 0.0000 x3
S1 0.0000 0.0000 0.5000 x3


Mn3S: computed powder XRD pattern (Cu Ka), based on a cell relaxed with GGA-PBE.
Lines closer than 0.1° are merged.

Top 6 peaks for 5° ≤ 2θ ≤ 70°, by intensity:
d_spacing, intensity, (hkl)
2.066, 1000, 1 1 1
1.789, 460, 2 0 0
3.578, 44, 1 0 0
2.530, 38, 1 1 0
1.600, 18, 2 1 0
1.461, 12, 2 1 1

Lattice parameters (Å, degrees): 3.578 3.578 3.578 90.00 90.00 90.00
Space group Pm-3m (No. 221)
Symmetry-distinct sites (fractional):
Mn1 0.000 0.000 0.500 x3
S1 0.500 0.500 0.500 x1


MnS: computed powder XRD pattern (Cu Ka), based on a cell relaxed with GGA-PBE.
Lines closer than 0.1° are merged.

Top 6 peaks for 5° ≤ 2θ ≤ 70°, by intensity:
d_spacing, intensity, (hkl)
3.194, 1000, 1 1 1
1.956, 622, 2 2 0
1.668, 384, 3 1 1
1.383, 91, 4 0 0
2.766, 61, 2 0 0
1.597, 15, 2 2 2

Lattice parameters (Å, degrees): 5.533 5.533 5.533 90.00 90.00 90.00
Space group F-43m (No. 216)
Symmetry-distinct sites (fractional):
Mn1 0.000 0.000 0.000 x4
S1 0.250 0.250 0.250 x4


MnS: computed powder XRD pattern (Cu Ka), based on a cell relaxed with GGA-PBE.
Lines closer than 0.1° are merged.

Top 10 peaks for 5° ≤ 2θ ≤ 70°, by intensity:
d_spacing, intensity, (hkl)
3.423, 1000, 1 0 0
3.007, 867, 1 0 1
1.976, 753, 1 1 0
1.789, 710, 1 0 3
3.149, 540, 0 0 2
1.674, 437, 1 1 2
2.317, 327, 1 0 2
1.652, 131, 2 0 1
1.711, 114, 2 0 0
1.504, 74, 2 0 2

Lattice parameters (Å, degrees): 3.9525 3.9525 6.2974 90.00 90.00 120.00
Space group P6_3mc (No. 186)
Symmetry-distinct sites (fractional):
Mn1 0.3333 0.6667 0.0000 x2
S1 0.3333 0.6667 0.3716 x2


MnSb2S4: computed powder XRD pattern (Cu Ka), based on a cell relaxed with GGA-PBE.
Lines closer than 0.1° are merged.

Top 10 peaks for 5° ≤ 2θ ≤ 70°, by intensity:
d_spacing, intensity, (hkl)
2.822, 1000, 3 1 -2
2.714, 588, 3 1 -3
3.421, 512, 1 1 1
4.745, 440, 2 0 1
3.077, 425, 1 1 -3
7.097, 405, 0 0 2
4.710, 397, 2 0 -3
5.789, 390, 2 0 0
2.543, 387, 3 1 1
2.722, 384, 3 1 0

Lattice parameters (Å, degrees): 12.678 3.829 15.503 90.00 113.70 90.00
Space group C2/m (No. 12)
Symmetry-distinct sites (fractional):
Mn1 0.000 0.000 0.000 x2
Mn2 0.000 0.000 0.500 x2
Sb1 0.146 0.500 0.373 x4
Sb2 0.232 0.000 0.876 x4
S1 0.006 0.000 0.663 x4
S2 0.113 0.500 0.961 x4
S3 0.155 0.500 0.537 x4
S4 0.158 0.000 0.167 x4


MnSb2S4: computed powder XRD pattern (Cu Ka), based on a cell relaxed with GGA-PBE.
Lines closer than 0.1° are merged.

Top 10 peaks for 5° ≤ 2θ ≤ 70°, by intensity:
d_spacing, intensity, (hkl)
2.668, 1000, 3 1 1
2.928, 973, 2 1 2
2.675, 908, 2 1 3
3.262, 903, 1 1 2
3.711, 831, 3 0 1
3.096, 605, 2 0 4
4.506, 585, 1 0 3
3.729, 579, 2 0 3
1.841, 519, 0 1 7
1.919, 509, 0 2 0

Lattice parameters (Å, degrees): 11.507 3.837 14.693 90.00 90.00 90.00
Space group Pnma (No. 62)
Symmetry-distinct sites (fractional):
Mn1 0.182 0.250 0.166 x4
Sb1 0.043 0.250 0.616 x4
Sb2 0.142 0.750 0.944 x4
S1 0.043 0.750 0.097 x4
S2 0.076 0.250 0.317 x4
S3 0.199 0.250 0.730 x4
S4 0.225 0.750 0.512 x4